For AlFeSi2O6, the GGA+U geometry in Alexandria gives the computed powder X-ray diffraction pattern in this record (Cu Kα (λ = 1.5418 Å)).
Lines closer than 0.1° are merged.

Top 6 peaks for 10 to 90 degrees two-theta, sorted by position:
| two_theta | I/Imax |
| --- | --- |
| 12.85 | 34 |
| 25.87 | 36 |
| 26.74 | 100 |
| 30.51 | 65 |
| 30.78 | 31 |
| 35.35 | 30 |

Lattice parameters (Å, degrees): 7.2462 7.2462 5.3059 106.51 106.51 92.29
Sites, in units of the cell vectors:
Al 0.2131 0.7869 0.7500
Al 0.7869 0.2131 0.2500
Fe 0.1130 0.8870 0.2500
Fe 0.8870 0.1130 0.7500
Si 0.2193 0.3825 0.3127
Si 0.3825 0.2193 0.8127
Si 0.6175 0.7807 0.1873
Si 0.7807 0.6175 0.6873
O 0.0122 0.2362 0.1826
O 0.1943 0.6076 0.4402
O 0.2362 0.0122 0.6826
O 0.3085 0.3609 0.0563
O 0.3609 0.3085 0.5563
O 0.3924 0.8057 0.0598
O 0.6076 0.1943 0.9402
O 0.6391 0.6915 0.4437
O 0.6915 0.6391 0.9437
O 0.7638 0.9878 0.3174
O 0.8057 0.3924 0.5598
O 0.9878 0.7638 0.8174